[1]
Structure and calculated PXRD pattern of Li3MnP2 (DFT lattice parameters and positions (PBE); λ = 1.5418 Å (Cu Kα)).

Structural model:
Lattice parameters (Å, degrees): 4.0767 4.0767 11.5681 90.00 90.00 90.00
Positions (direct):
Li 0.2500 0.7500 0.0045
Li 0.2500 0.7500 0.2500
Li 0.2500 0.7500 0.4955
Li 0.7500 0.2500 0.5045
Li 0.7500 0.2500 0.7500
Li 0.7500 0.2500 0.9955
Mn 0.2500 0.7500 0.7500
Mn 0.7500 0.2500 0.2500
P 0.2500 0.2500 0.1360
P 0.2500 0.2500 0.6360
P 0.7500 0.7500 0.3640
P 0.7500 0.7500 0.8640

The 10 most intense peaks (10 to 90 degrees two-theta), sorted by position:
| 2theta | Rel. int. |
| --- | --- |
| 15.32 | 58 |
| 23.13 | 62 |
| 26.75 | 64 |
| 31.95 | 28 |
| 34.77 | 15 |
| 44.40 | 100 |
| 47.28 | 11 |
| 50.69 | 13 |
| 52.64 | 16 |
| 81.80 | 20 |



[2]
Structure and calculated PXRD pattern of Li2PaMnSe4 (DFT lattice parameters and positions (PBE); λ = 1.5418 Å (Cu Kα)).

Structural model:
Lattice parameters (Å, degrees): 6.7887 6.7887 6.7887 130.94 130.94 71.92
Positions (direct):
Li 0.0000 0.0000 0.0000
Li 0.7500 0.2500 0.5000
Pa 0.2500 0.7500 0.5000
Mn 0.5000 0.5000 0.0000
Se 0.2553 0.2553 0.0000
Se 0.5025 0.0025 0.5000
Se 0.7447 0.7447 0.0000
Se 0.9975 0.4975 0.5000

The 10 most intense peaks (10 to 90 degrees two-theta), sorted by position:
| 2theta | Rel. int. |
| --- | --- |
| 17.68 | 100 |
| 29.07 | 32 |
| 31.75 | 91 |
| 32.59 | 42 |
| 36.57 | 34 |
| 43.58 | 22 |
| 45.51 | 33 |
| 46.14 | 64 |
| 57.09 | 34 |
| 84.58 | 22 |



[3]
Structure and calculated PXRD pattern of LiMn5Pd6 (DFT lattice parameters and positions (PBE); λ = 1.5418 Å (Cu Kα)).

Structural model:
Lattice parameters (Å, degrees): 7.6210 7.6210 4.4210 106.80 106.80 120.65
Positions (direct):
Li 0.0000 0.0000 0.0000
Mn 0.1669 0.8331 0.5000
Mn 0.3345 0.6655 0.0000
Mn 0.5000 0.5000 0.5000
Mn 0.6655 0.3345 0.0000
Mn 0.8331 0.1669 0.5000
Pd 0.0825 0.4159 0.2493
Pd 0.2483 0.2483 0.7482
Pd 0.4159 0.0825 0.2493
Pd 0.5841 0.9175 0.7507
Pd 0.7517 0.7517 0.2518
Pd 0.9175 0.5841 0.7507

The 10 most intense peaks (10 to 90 degrees two-theta), sorted by position:
| 2theta | Rel. int. |
| --- | --- |
| 28.58 | 21 |
| 29.16 | 10 |
| 40.85 | 52 |
| 41.28 | 100 |
| 51.00 | 6 |
| 59.15 | 17 |
| 60.45 | 8 |
| 74.56 | 8 |
| 74.72 | 24 |
| 75.59 | 12 |